Record 1
For KHf2Zn, a structure optimized by DFT (PBE) gives the theoretical X-ray diffraction stick pattern in this record (Cu Kα X-rays).
Kinematic intensities with the Lorentz-polarization factor, no thermal factor.

Peak list (6 most intense, 10 to 90 degrees two-theta, in order of falling intensity)
30.90°, rel. 100
38.36°, rel. 56
45.76°, rel. 53
15.63°, rel. 52
31.57°, rel. 38
50.50°, rel. 26

Structure:
```
KHf2Zn
1.0
-2.117 2.117 11.337
2.117 -2.117 11.337
2.117 2.117 -11.337
K Hf Zn
2 4 2
direct
0.000 0.000 0.000 K
0.750 0.250 0.500 K
0.147 0.625 0.022 Hf
0.375 0.397 0.522 Hf
0.603 0.125 0.978 Hf
0.875 0.853 0.478 Hf
0.250 0.750 0.500 Zn
0.500 0.500 0.000 Zn
```


Record 2
For La4Hf, a structure optimized by DFT (PBE) gives the theoretical X-ray diffraction stick pattern in this record (Cu Kα X-rays).
Kinematic intensities with the Lorentz-polarization factor, no thermal factor.

Peak list (6 most intense, 10 to 90 degrees two-theta, in order of falling intensity)
30.59°, rel. 100
43.80°, rel. 75
26.41°, rel. 52
72.29°, rel. 34
15.16°, rel. 31
21.50°, rel. 28

Structure:
```
La4Hf
1.0
5.845 0.000 0.000
0.000 5.845 0.000
0.000 0.000 5.845
La Hf
4 1
direct
0.000 0.000 0.000 La
0.000 0.500 0.500 La
0.500 0.000 0.500 La
0.500 0.500 0.000 La
0.500 0.500 0.500 Hf
```


Record 3
For LiLa2Hf, a structure optimized by DFT (PBE) gives the theoretical X-ray diffraction stick pattern in this record (Cu Kα X-rays).
Kinematic intensities with the Lorentz-polarization factor, no thermal factor.

Peak list (6 most intense, 10 to 90 degrees two-theta, in order of falling intensity)
31.74°, rel. 100
36.92°, rel. 34
63.30°, rel. 28
52.96°, rel. 23
27.45°, rel. 17
36.59°, rel. 17

Structure:
```
LiLa2Hf
1.0
3.443 0.000 0.000
0.000 3.443 0.000
0.000 0.000 9.822
Li La Hf
1 2 1
direct
0.000 0.000 0.000 Li
0.500 0.500 0.260 La
0.500 0.500 0.740 La
0.000 0.000 0.500 Hf
```